Theoretical powder X-ray diffraction pattern
Compound: Li3Cd3Hg
Radiation: a wavelength of 1.5418 Å
Structure: a structure optimized by DFT (GGA-PBE)

The 12 most intense peaks (10° ≤ 2θ ≤ 80°), by angle:
2θ (°), I_rel
23.97, 30
26.30, 100
30.46, 12
34.16, 22
35.88, 27
39.12, 20
40.67, 74
43.61, 12
50.37, 22
56.53, 13
60.01, 18
69.84, 23

Cell and atoms:
```
data_Li3Cd3Hg
_chemical_formula_sum 'Li12 Cd12 Hg4'
_cell_length_a 8.3015
_cell_length_b 8.3015
_cell_length_c 8.3015
_cell_angle_alpha 90.00
_cell_angle_beta 90.00
_cell_angle_gamma 90.00
_symmetry_space_group_name_H-M 'P 21 3'
_symmetry_Int_Tables_number 198
_symmetry_space_group_name_Hall 'P 2ac 2ab 3'
loop_
_atom_site_label
_atom_site_fract_x
_atom_site_fract_y
_atom_site_fract_z
_atom_site_occupancy
Li1 0.0304 0.3105 0.8624 1
Cd1 0.0411 0.4589 0.5411 1
Cd2 0.1553 0.8447 0.3447 1
Cd3 0.1642 0.1642 0.1642 1
Hg1 0.1276 0.6276 0.8724 1
```

Theoretical powder X-ray diffraction pattern
Compound: Li6CdHg3
Radiation: a wavelength of 1.5418 Å
Structure: a structure optimized by DFT (GGA-PBE)

The 12 most intense peaks (10° ≤ 2θ ≤ 80°), by angle:
2θ (°), I_rel
16.07, 17
22.82, 34
25.55, 100
28.79, 33
36.45, 20
37.05, 22
38.87, 76
47.10, 15
48.13, 20
57.06, 24
58.38, 18
65.93, 15

Cell and atoms:
```
data_Li6CdHg3
_chemical_formula_sum 'Li24 Cd4 Hg12'
_cell_length_a 11.0169
_cell_length_b 11.0302
_cell_length_c 6.2020
_cell_angle_alpha 90.00
_cell_angle_beta 90.00
_cell_angle_gamma 90.00
_symmetry_space_group_name_H-M 'C m c 21'
_symmetry_Int_Tables_number 36
_symmetry_space_group_name_Hall 'C 2c -2'
loop_
_atom_site_label
_atom_site_fract_x
_atom_site_fract_y
_atom_site_fract_z
_atom_site_occupancy
Li1 0.0000 0.1255 0.0000 1
Li2 0.0000 0.1256 0.4691 1
Li3 0.1289 0.5000 0.4843 1
Li4 0.2501 0.2502 0.4866 1
Cd1 0.0000 0.3254 0.7345 1
Hg1 0.0000 0.3341 0.2345 1
Hg2 0.1698 0.0151 0.7346 1
```

Theoretical powder X-ray diffraction pattern
Compound: Li3Cd3Hg2
Radiation: a wavelength of 1.5418 Å
Structure: a structure optimized by DFT (GGA-PBE)

The 12 most intense peaks (10° ≤ 2θ ≤ 80°), by angle:
2θ (°), I_rel
23.69, 100
26.95, 99
27.43, 48
36.18, 78
36.55, 92
38.83, 43
41.66, 34
45.99, 91
50.32, 37
65.80, 31
68.34, 28
72.46, 47

Cell and atoms:
```
data_Li3Cd3Hg2
_chemical_formula_sum 'Li3 Cd3 Hg2'
_cell_length_a 7.5103
_cell_length_b 7.5103
_cell_length_c 3.3088
_cell_angle_alpha 90.00
_cell_angle_beta 90.00
_cell_angle_gamma 120.00
_symmetry_space_group_name_H-M 'P -6 2 m'
_symmetry_Int_Tables_number 189
_symmetry_space_group_name_Hall 'P -6 -2'
loop_
_atom_site_label
_atom_site_fract_x
_atom_site_fract_y
_atom_site_fract_z
_atom_site_occupancy
Li1 0.0000 0.4000 0.0000 1
Cd1 0.0000 0.7702 0.5000 1
Hg1 0.3333 0.6667 0.5000 1
```

Theoretical powder X-ray diffraction pattern
Compound: Li2Cd2Hg3
Radiation: a wavelength of 1.5418 Å
Structure: a structure optimized by DFT (GGA-PBE)

The 12 most intense peaks (10° ≤ 2θ ≤ 80°), by angle:
2θ (°), I_rel
13.15, 57
27.30, 33
28.94, 47
33.44, 20
33.76, 100
37.47, 36
37.93, 66
39.39, 27
47.65, 19
49.33, 17
62.14, 17
62.54, 17

Cell and atoms:
```
data_Li2Cd2Hg3
_chemical_formula_sum 'Li4 Cd4 Hg6'
_cell_length_a 11.6451
_cell_length_b 3.8171
_cell_length_c 6.9459
_cell_angle_alpha 90.00
_cell_angle_beta 104.26
_cell_angle_gamma 90.00
_symmetry_space_group_name_H-M 'C 1 2/m 1'
_symmetry_Int_Tables_number 12
_symmetry_space_group_name_Hall '-C 2y'
loop_
_atom_site_label
_atom_site_fract_x
_atom_site_fract_y
_atom_site_fract_z
_atom_site_occupancy
Li1 0.1392 0.0000 0.4171 1
Cd1 0.0728 0.5000 0.7058 1
Hg1 0.0000 0.0000 0.0000 1
Hg2 0.2182 0.5000 0.1793 1
```

Theoretical powder X-ray diffraction pattern
Compound: Li6Cd3Hg2
Radiation: a wavelength of 1.5418 Å
Structure: a structure optimized by DFT (GGA-PBE)

The 12 most intense peaks (10° ≤ 2θ ≤ 80°), by angle:
2θ (°), I_rel
11.71, 57
22.80, 71
23.55, 82
28.93, 22
30.03, 21
34.50, 22
37.15, 100
37.63, 27
40.95, 18
46.58, 16
50.91, 35
59.23, 15

Cell and atoms:
```
data_Li6Cd3Hg2
_chemical_formula_sum 'Li12 Cd6 Hg4'
_cell_length_a 9.1061
_cell_length_b 15.1124
_cell_length_c 3.0865
_cell_angle_alpha 90.00
_cell_angle_beta 90.00
_cell_angle_gamma 90.00
_symmetry_space_group_name_H-M 'C m m m'
_symmetry_Int_Tables_number 65
_symmetry_space_group_name_Hall '-C 2 2'
loop_
_atom_site_label
_atom_site_fract_x
_atom_site_fract_y
_atom_site_fract_z
_atom_site_occupancy
Li1 0.0000 0.0876 0.0000 1
Li2 0.2168 0.3424 0.0000 1
Cd1 0.0000 0.2421 0.5000 1
Cd2 0.0000 0.5000 0.0000 1
Hg1 0.2119 0.0000 0.5000 1
```

Theoretical powder X-ray diffraction pattern
Compound: LiCd4Hg15
Radiation: a wavelength of 1.5418 Å
Structure: a structure optimized by DFT (GGA-PBE)

The 12 most intense peaks (10° ≤ 2θ ≤ 80°), by angle:
2θ (°), I_rel
17.10, 3
33.64, 100
34.61, 23
40.45, 15
41.73, 13
54.26, 13
55.30, 12
59.52, 10
61.40, 18
69.24, 13
70.71, 12
71.03, 11

Cell and atoms:
```
data_LiCd4Hg15
_chemical_formula_sum 'Li1 Cd4 Hg15'
_cell_length_a 4.4600
_cell_length_b 5.1839
_cell_length_c 21.6427
_cell_angle_alpha 90.00
_cell_angle_beta 90.00
_cell_angle_gamma 90.00
_symmetry_space_group_name_H-M 'P m m m'
_symmetry_Int_Tables_number 47
_symmetry_space_group_name_Hall '-P 2 2'
loop_
_atom_site_label
_atom_site_fract_x
_atom_site_fract_y
_atom_site_fract_z
_atom_site_occupancy
Li1 0.0000 0.0000 0.0000 1
Cd1 0.0000 0.0000 0.1962 1
Cd2 0.0000 0.0000 0.3986 1
Hg1 0.0000 0.5000 0.0970 1
Hg2 0.0000 0.5000 0.2981 1
Hg3 0.0000 0.5000 0.5000 1
Hg4 0.5000 0.0000 0.0925 1
Hg5 0.5000 0.0000 0.2973 1
Hg6 0.5000 0.0000 0.5000 1
Hg7 0.5000 0.5000 0.0000 1
Hg8 0.5000 0.5000 0.1965 1
Hg9 0.5000 0.5000 0.3991 1
```

Theoretical powder X-ray diffraction pattern
Compound: Li4Cd3Hg
Radiation: a wavelength of 1.5418 Å
Structure: a structure optimized by DFT (GGA-PBE)

The 12 most intense peaks (10° ≤ 2θ ≤ 80°), by angle:
2θ (°), I_rel
20.08, 17
26.43, 100
26.81, 96
27.33, 92
38.01, 89
38.39, 87
38.66, 85
47.44, 84
61.96, 18
62.72, 17
63.33, 17
70.04, 29

Cell and atoms:
```
data_Li4Cd3Hg
_chemical_formula_sum 'Li8 Cd6 Hg2'
_cell_length_a 6.7433
_cell_length_b 6.5254
_cell_length_c 7.4503
_cell_angle_alpha 90.00
_cell_angle_beta 116.79
_cell_angle_gamma 90.00
_symmetry_space_group_name_H-M 'C 1 2/m 1'
_symmetry_Int_Tables_number 12
_symmetry_space_group_name_Hall '-C 2y'
loop_
_atom_site_label
_atom_site_fract_x
_atom_site_fract_y
_atom_site_fract_z
_atom_site_occupancy
Li1 0.1271 0.2503 0.2541 1
Cd1 0.0000 0.0000 0.5000 1
Cd2 0.2473 0.0000 0.9959 1
Hg1 0.0000 0.5000 0.5000 1
```

Theoretical powder X-ray diffraction pattern
Compound: LiCd7Hg4
Radiation: a wavelength of 1.5418 Å
Structure: a structure optimized by DFT (GGA-PBE)

The 12 most intense peaks (10° ≤ 2θ ≤ 80°), by angle:
2θ (°), I_rel
23.50, 24
24.67, 24
25.86, 24
32.90, 18
33.61, 67
34.07, 93
34.71, 87
34.97, 20
37.52, 51
39.45, 100
42.96, 45
58.11, 19

Cell and atoms:
```
data_LiCd7Hg4
_chemical_formula_sum 'Li1 Cd7 Hg4'
_cell_length_a 5.8163
_cell_length_b 7.2908
_cell_length_c 7.7567
_cell_angle_alpha 74.06
_cell_angle_beta 70.06
_cell_angle_gamma 71.54
_symmetry_space_group_name_H-M 'P -1'
_symmetry_Int_Tables_number 2
_symmetry_space_group_name_Hall '-P 1'
loop_
_atom_site_label
_atom_site_fract_x
_atom_site_fract_y
_atom_site_fract_z
_atom_site_occupancy
Li1 0.0000 0.0000 0.0000 1
Cd1 0.0000 0.5000 0.0000 1
Cd2 0.1365 0.0980 0.2961 1
Cd3 0.2226 0.5996 0.4788 1
Cd4 0.4953 0.2177 0.9031 1
Hg1 0.2576 0.1598 0.6387 1
Hg2 0.4229 0.6873 0.7785 1
```

Theoretical powder X-ray diffraction pattern
Compound: LiCd6Hg
Radiation: a wavelength of 1.5418 Å
Structure: a structure optimized by DFT (GGA-PBE)

The 12 most intense peaks (10° ≤ 2θ ≤ 80°), by angle:
2θ (°), I_rel
15.76, 44
15.89, 22
32.09, 16
33.58, 20
33.72, 19
34.23, 19
36.26, 55
36.69, 53
36.94, 54
37.52, 100
38.01, 62
66.69, 21

Cell and atoms:
```
data_LiCd6Hg
_chemical_formula_sum 'Li1 Cd6 Hg1'
_cell_length_a 5.6658
_cell_length_b 5.7058
_cell_length_c 5.7099
_cell_angle_alpha 96.46
_cell_angle_beta 95.47
_cell_angle_gamma 97.80
_symmetry_space_group_name_H-M 'P -1'
_symmetry_Int_Tables_number 2
_symmetry_space_group_name_Hall '-P 1'
loop_
_atom_site_label
_atom_site_fract_x
_atom_site_fract_y
_atom_site_fract_z
_atom_site_occupancy
Li1 0.0000 0.0000 0.0000 1
Cd1 0.0387 0.7543 0.4440 1
Cd2 0.2485 0.5567 0.9585 1
Cd3 0.4467 0.0380 0.7527 1
Hg1 0.5000 0.5000 0.5000 1
```

Theoretical powder X-ray diffraction pattern
Compound: LiCd12Hg16
Radiation: a wavelength of 1.5418 Å
Structure: a structure optimized by DFT (GGA-PBE)

The 12 most intense peaks (10° ≤ 2θ ≤ 80°), by angle:
2θ (°), I_rel
29.03, 60
29.18, 56
30.52, 52
33.11, 93
33.56, 46
34.24, 42
35.67, 100
36.26, 61
36.60, 43
36.79, 33
38.21, 57
40.08, 36

Cell and atoms:
```
data_LiCd12Hg16
_chemical_formula_sum 'Li2 Cd24 Hg32'
_cell_length_a 12.2437
_cell_length_b 14.6653
_cell_length_c 10.0546
_cell_angle_alpha 90.00
_cell_angle_beta 127.13
_cell_angle_gamma 90.00
_symmetry_space_group_name_H-M 'C 1 m 1'
_symmetry_Int_Tables_number 8
_symmetry_space_group_name_Hall 'C -2y'
loop_
_atom_site_label
_atom_site_fract_x
_atom_site_fract_y
_atom_site_fract_z
_atom_site_occupancy
Li1 0.0000 0.0000 0.0000 1
Cd1 0.0126 0.0000 0.5187 1
Cd2 0.1216 0.2938 0.9462 1
Cd3 0.1358 0.1016 0.3648 1
Cd4 0.1861 0.3936 0.7248 1
Cd5 0.2011 0.0000 0.8968 1
Cd6 0.4066 0.2058 0.5714 1
Cd7 0.4743 0.1056 0.0950 1
Hg1 0.0218 0.5000 0.8673 1
Hg2 0.0425 0.2834 0.3957 1
Hg3 0.1453 0.5000 0.4255 1
Hg4 0.2466 0.1270 0.1634 1
Hg5 0.2503 0.1541 0.7247 1
Hg6 0.2877 0.3570 0.3125 1
Hg7 0.3395 0.5000 0.1164 1
Hg8 0.4054 0.0000 0.4942 1
Hg9 0.4267 0.3069 0.0331 1
Hg10 0.4337 0.3860 0.7211 1
```

Theoretical powder X-ray diffraction pattern
Compound: Li7Cd2Hg2
Radiation: a wavelength of 1.5418 Å
Structure: a structure optimized by DFT (GGA-PBE)

The 12 most intense peaks (10° ≤ 2θ ≤ 80°), by angle:
2θ (°), I_rel
18.64, 42
20.45, 71
21.88, 100
25.13, 56
26.05, 49
28.19, 55
29.86, 24
36.92, 28
37.76, 37
38.45, 84
39.95, 23
44.59, 25

Cell and atoms:
```
data_Li7Cd2Hg2
_chemical_formula_sum 'Li7 Cd2 Hg2'
_cell_length_a 5.4978
_cell_length_b 6.0937
_cell_length_c 7.3966
_cell_angle_alpha 90.30
_cell_angle_beta 108.39
_cell_angle_gamma 112.72
_symmetry_space_group_name_H-M 'P -1'
_symmetry_Int_Tables_number 2
_symmetry_space_group_name_Hall '-P 1'
loop_
_atom_site_label
_atom_site_fract_x
_atom_site_fract_y
_atom_site_fract_z
_atom_site_occupancy
Li1 0.0000 0.0000 0.0000 1
Li2 0.2039 0.7013 0.4503 1
Li3 0.4753 0.0321 0.7865 1
Li4 0.4767 0.4955 0.1990 1
Cd1 0.2051 0.1815 0.4272 1
Hg1 0.1402 0.6297 0.8744 1
```

Theoretical powder X-ray diffraction pattern
Compound: LiMg2CdHg
Radiation: a wavelength of 1.5418 Å
Structure: a structure optimized by DFT (GGA-PBE)

The 12 most intense peaks (10° ≤ 2θ ≤ 80°), by angle:
2θ (°), I_rel
15.71, 100
18.06, 19
25.11, 38
27.15, 93
36.48, 59
36.80, 85
37.14, 19
38.19, 36
42.05, 18
42.55, 34
47.09, 18
62.16, 23

Cell and atoms:
```
data_LiMg2CdHg
_chemical_formula_sum 'Li4 Mg8 Cd4 Hg4'
_cell_length_a 9.8649
_cell_length_b 3.8593
_cell_length_c 11.9367
_cell_angle_alpha 90.00
_cell_angle_beta 109.03
_cell_angle_gamma 90.00
_symmetry_space_group_name_H-M 'C 1 2/m 1'
_symmetry_Int_Tables_number 12
_symmetry_space_group_name_Hall '-C 2y'
loop_
_atom_site_label
_atom_site_fract_x
_atom_site_fract_y
_atom_site_fract_z
_atom_site_occupancy
Li1 0.1421 0.0000 0.4536 1
Mg1 0.0945 0.5000 0.6356 1
Mg2 0.1743 0.0000 0.0837 1
Cd1 0.0737 0.0000 0.8278 1
Hg1 0.1724 0.5000 0.2919 1
```